Record 1
Starting from a PBE-relaxed structure, the powder X-ray diffraction pattern of InCl was calculated for Cu Kα (weighted mean of Kα1 and Kα2).
Intensities are scaled so that the largest is 100.

Structure:
a = 6.599 Å, b = 6.599 Å, c = 4.544 Å
α = 90.00°, β = 90.00°, γ = 140.95°
Element x y z (fractional)
In  0.114  0.886  0.500
In  0.886  0.114  0.000
Cl  0.344  0.656  0.516
Cl  0.656  0.344  0.016

Main lines, most intense first (2θ from 15° to 90°):
2θ (°)	I/Imax
29.11	100
35.69	57
24.26	45
28.70	44
21.37	42
39.67	22

Record 2
Starting from a PBE-relaxed structure, the powder X-ray diffraction pattern of HfP2 was calculated for Cu Kα (weighted mean of Kα1 and Kα2).
Intensities are scaled so that the largest is 100.

Structure:
a = 6.460 Å, b = 3.509 Å, c = 8.687 Å
α = 90.00°, β = 90.00°, γ = 90.00°
Element x y z (fractional)
Hf  0.223  0.250  0.164
Hf  0.277  0.750  0.664
Hf  0.723  0.250  0.336
Hf  0.777  0.750  0.836
P  0.093  0.250  0.858
P  0.111  0.250  0.461
P  0.389  0.750  0.961
P  0.407  0.750  0.358
P  0.593  0.250  0.642
P  0.611  0.250  0.039
P  0.889  0.750  0.539
P  0.907  0.750  0.142

Main lines, most intense first (2θ from 15° to 90°):
2θ (°)	I/Imax
42.84	100
24.70	82
27.41	72
39.30	70
27.62	43
30.77	39

Please write out number 1 again, unchanged.
Starting from a PBE-relaxed structure, the powder X-ray diffraction pattern of InCl was calculated for Cu Kα (weighted mean of Kα1 and Kα2).
Intensities are scaled so that the largest is 100.

Structure:
a = 6.599 Å, b = 6.599 Å, c = 4.544 Å
α = 90.00°, β = 90.00°, γ = 140.95°
Element x y z (fractional)
In  0.114  0.886  0.500
In  0.886  0.114  0.000
Cl  0.344  0.656  0.516
Cl  0.656  0.344  0.016

Main lines, most intense first (2θ from 15° to 90°):
2θ (°)	I/Imax
29.11	100
35.69	57
24.26	45
28.70	44
21.37	42
39.67	22

Copy entry 1 word for word.
Starting from a PBE-relaxed structure, the powder X-ray diffraction pattern of InCl was calculated for Cu Kα (weighted mean of Kα1 and Kα2).
Intensities are scaled so that the largest is 100.

Structure:
a = 6.599 Å, b = 6.599 Å, c = 4.544 Å
α = 90.00°, β = 90.00°, γ = 140.95°
Element x y z (fractional)
In  0.114  0.886  0.500
In  0.886  0.114  0.000
Cl  0.344  0.656  0.516
Cl  0.656  0.344  0.016

Main lines, most intense first (2θ from 15° to 90°):
2θ (°)	I/Imax
29.11	100
35.69	57
24.26	45
28.70	44
21.37	42
39.67	22

What is the formula in the first record? InCl